Entry 1:
Structure and calculated powder X-ray diffraction pattern of Rb3Ni2Br9 (the GGA-PBE geometry in Alexandria; copper Kα).

Largest 10 diffraction maxima, by angle, 10° ≤ 2θ ≤ 90°:
d 7.504, I 25
d 6.196, I 12
d 3.499, I 19
d 3.098, I 13
d 2.833, I 100
d 2.319, I 23
d 1.789, I 23
d 1.593, I 11
d 1.512, I 14
d 1.155, I 11

Atomic structure:
Lattice parameters (Å, degrees): 10.0073 10.0073 10.0073 76.50 76.50 76.50
Positions (direct):
Rb (0.0886, 0.7500, 0.4114)
Rb (0.2500, 0.5886, 0.9114)
Rb (0.4114, 0.0886, 0.7500)
Rb (0.5886, 0.9114, 0.2500)
Rb (0.7500, 0.4114, 0.0886)
Rb (0.9114, 0.2500, 0.5886)
Ni (0.1735, 0.1735, 0.1735)
Ni (0.3265, 0.3265, 0.3265)
Ni (0.6735, 0.6735, 0.6735)
Ni (0.8265, 0.8265, 0.8265)
Br (0.0568, 0.8885, 0.7268)
Br (0.0936, 0.4064, 0.2500)
Br (0.1115, 0.2732, 0.9432)
Br (0.2268, 0.3885, 0.5568)
Br (0.2500, 0.0936, 0.4064)
Br (0.2732, 0.9432, 0.1115)
Br (0.3885, 0.5568, 0.2268)
Br (0.4064, 0.2500, 0.0936)
Br (0.4432, 0.7732, 0.6115)
Br (0.5568, 0.2268, 0.3885)
Br (0.5936, 0.7500, 0.9064)
Br (0.6115, 0.4432, 0.7732)
Br (0.7268, 0.0568, 0.8885)
Br (0.7500, 0.9064, 0.5936)
Br (0.7732, 0.6115, 0.4432)
Br (0.8885, 0.7268, 0.0568)
Br (0.9064, 0.5936, 0.7500)
Br (0.9432, 0.1115, 0.2732)

---

Entry 2:
Structure and calculated powder X-ray diffraction pattern of Rb3NiBr8 (the GGA-PBE geometry in Alexandria; copper Kα).

Largest 10 diffraction maxima, by angle, 10° ≤ 2θ ≤ 90°:
d 4.284, I 19
d 4.207, I 56
d 3.030, I 82
d 2.775, I 18
d 2.459, I 27
d 2.415, I 100
d 2.329, I 13
d 2.142, I 21
d 1.603, I 30
d 1.316, I 16

Atomic structure:
Lattice parameters (Å, degrees): 8.4202 8.4202 8.4202 118.83 118.83 92.04
Positions (direct):
Rb (0.0000, 0.0000, 0.0000)
Rb (0.2500, 0.7500, 0.5000)
Rb (0.7500, 0.2500, 0.5000)
Ni (0.5000, 0.5000, 0.0000)
Br (0.1608, 0.1608, 0.5745)
Br (0.1608, 0.5863, 0.0000)
Br (0.4137, 0.4137, 0.5745)
Br (0.4137, 0.8392, 0.0000)
Br (0.5863, 0.1608, 0.0000)
Br (0.5863, 0.5863, 0.4255)
Br (0.8392, 0.4137, 0.0000)
Br (0.8392, 0.8392, 0.4255)

---

Entry 3:
Structure and calculated powder X-ray diffraction pattern of RbNiBr (the GGA-PBE geometry in Alexandria; copper Kα).

Largest 10 diffraction maxima, by angle, 10° ≤ 2θ ≤ 90°:
d 4.770, I 29
d 3.382, I 37
d 3.215, I 69
d 3.180, I 32
d 3.125, I 100
d 3.063, I 39
d 2.946, I 49
d 2.385, I 31
d 2.069, I 38
d 1.725, I 30

Atomic structure:
Lattice parameters (Å, degrees): 4.5629 4.1371 9.5527 90.00 92.91 90.00
Positions (direct):
Rb (0.0000, 0.0000, 0.0000)
Rb (0.0476, 0.0000, 0.4165)
Ni (0.5688, 0.0000, 0.6981)
Ni (0.8406, 0.5000, 0.6931)
Br (0.3332, 0.5000, 0.7370)
Br (0.5250, 0.5000, 0.2028)